No. 1
The following is a computed X-ray diffraction stick pattern of LaTm5Se6. It was derived from the GGA-PBE geometry in Alexandria, using Cu Kα X-rays.
Peak positions follow from Bragg's law for the DFT cell and can differ from measured ones.

The 12 most intense peaks (2θ from 10° to 90°), by angle:
3.324 Å, intensity 17; 2.876 Å, intensity 100; 2.037 Å, intensity 37; 2.030 Å, intensity 37; 1.662 Å, intensity 19; 1.654 Å, intensity 6; 1.438 Å, intensity 12; 1.288 Å, intensity 11; 1.284 Å, intensity 16; 1.176 Å, intensity 10; 1.174 Å, intensity 8; 1.171 Å, intensity 6

Atomic structure:
```
12
Lattice="3.5102 -6.1104 0.0000 3.5102 6.1104 0.0000 -2.3556 0.0000 6.6518" Properties=species:S:1:pos:R:3 pbc="T T T"
La 0.0000 0.0000 0.0000
Tm 2.3324 4.1859 3.3259
Tm 3.5102 2.0335 0.0000
Tm 2.3324 0.0000 3.3259
Tm 3.5102 -2.0335 0.0000
Tm 2.3324 -4.1859 3.3259
Se 1.2188 2.1334 1.7320
Se 0.0959 0.0000 4.9735
Se 1.2188 -2.1334 1.7320
Se 3.4460 2.1334 4.9198
Se 4.5689 0.0000 1.6784
Se 3.4460 -2.1334 4.9198
```

=====

No. 2
The following is a computed X-ray diffraction stick pattern of LaTm4Se5. It was derived from the GGA-PBE geometry in Alexandria, using Cu Kα X-rays.
Peak positions follow from Bragg's law for the DFT cell and can differ from measured ones.

The 12 most intense peaks (2θ from 10° to 90°), by angle:
3.344 Å, intensity 11; 3.317 Å, intensity 11; 2.885 Å, intensity 100; 2.050 Å, intensity 12; 2.041 Å, intensity 49; 2.025 Å, intensity 12; 1.672 Å, intensity 12; 1.659 Å, intensity 13; 1.292 Å, intensity 11; 1.290 Å, intensity 11; 1.182 Å, intensity 11; 1.172 Å, intensity 8

Atomic structure:
```
10
Lattice="-2.0254 2.8905 10.2505 2.0254 -2.8905 10.2505 2.0254 2.8905 -10.2505" Properties=species:S:1:pos:R:3 pbc="T T T"
La 0.0000 0.0000 0.0000
Tm 0.0000 0.0000 4.1853
Tm 0.0000 0.0000 8.2355
Tm 0.0000 0.0000 12.2655
Tm 0.0000 0.0000 16.3157
Se 2.0254 0.0000 2.2384
Se 2.0254 0.0000 6.1984
Se 0.0000 2.8905 0.0000
Se 0.0000 2.8905 4.0521
Se 0.0000 2.8905 8.0121
```

=====

No. 3
The following is a computed X-ray diffraction stick pattern of LaU4Se8. It was derived from the GGA-PBE geometry in Alexandria, using Cu Kα X-rays.
Peak positions follow from Bragg's law for the DFT cell and can differ from measured ones.

The 12 most intense peaks (2θ from 10° to 90°), by angle:
7.193 Å, intensity 67; 3.463 Å, intensity 30; 2.941 Å, intensity 100; 2.723 Å, intensity 12; 2.316 Å, intensity 16; 2.139 Å, intensity 40; 2.026 Å, intensity 35; 1.950 Å, intensity 16; 1.668 Å, intensity 19; 1.345 Å, intensity 18; 1.288 Å, intensity 16; 1.190 Å, intensity 13

Atomic structure:
```
13
Lattice="4.0516 2.3392 7.1933 -4.0516 2.3392 7.1933 0.0000 -4.6784 7.1933" Properties=species:S:1:pos:R:3 pbc="T T T"
La 0.0000 0.0000 0.0000
U -4.0516 0.0000 10.7900
U -2.0258 1.1696 3.5967
U 2.0258 1.1696 3.5967
U 0.0000 0.0000 10.7900
Se 0.0000 0.0000 5.1893
Se -2.0186 -1.1655 12.4879
Se 0.0000 -2.3309 9.0921
Se -2.0186 1.1655 9.0921
Se 2.0186 -1.1655 12.4879
Se 0.0000 2.3309 12.4879
Se 2.0186 1.1655 9.0921
Se 0.0000 0.0000 16.3907
```

=====

No. 4
The following is a computed X-ray diffraction stick pattern of La2USe5. It was derived from the GGA-PBE geometry in Alexandria, using Cu Kα X-rays.
Peak positions follow from Bragg's law for the DFT cell and can differ from measured ones.

The 12 most intense peaks (2θ from 10° to 90°), by angle:
3.964 Å, intensity 27; 3.704 Å, intensity 55; 3.607 Å, intensity 45; 3.537 Å, intensity 40; 2.921 Å, intensity 26; 2.833 Å, intensity 39; 2.639 Å, intensity 100; 2.532 Å, intensity 54; 2.343 Å, intensity 31; 2.140 Å, intensity 41; 2.091 Å, intensity 59; 1.852 Å, intensity 53

Atomic structure:
```
32
Lattice="12.5668 0.0000 0.0000 0.0000 8.5583 0.0000 0.0000 0.0000 7.9289" Properties=species:S:1:pos:R:3 pbc="T T T"
La 2.2189 0.0033 0.2368
La 2.2189 4.2758 0.2368
La 4.0645 8.5550 4.2012
La 4.0645 4.2825 4.2012
La 8.5023 0.0033 3.7277
La 8.5023 4.2758 3.7277
La 10.3479 8.5550 7.6921
La 10.3479 4.2825 7.6921
U 0.0953 2.1396 4.5095
U 6.1881 6.4187 0.5450
U 6.3786 2.1396 7.3839
U 12.4715 6.4187 3.4194
Se 0.0148 2.1396 7.5570
Se 1.1649 4.6348 5.2742
Se 1.1649 8.2026 5.2742
Se 2.3499 2.1396 2.6600
Se 2.6862 6.4187 2.4562
Se 3.5972 2.1396 6.4206
Se 3.9335 6.4187 6.6244
Se 5.1185 0.3557 1.3098
Se 5.1185 3.9235 1.3098
Se 6.2685 6.4187 3.5925
Se 6.2982 2.1396 4.3364
Se 7.4483 4.6348 6.6191
Se 7.4483 8.2026 6.6191
Se 8.6333 2.1396 1.3045
Se 8.9696 6.4187 1.5083
Se 9.8805 2.1396 5.4728
Se 10.2169 6.4187 5.2689
Se 11.4018 0.3557 2.6547
Se 11.4018 3.9235 2.6547
Se 12.5519 6.4187 0.3719
```